Starting from a structure optimized by DFT (GGA-PBE), the powder diffractogram of CsRb2Au7 was computed for Cu Kα (λ = 1.5418 Å).
Neutral-atom scattering factors, no anomalous dispersion.

Cell and atoms:
a = 7.397 Å, b = 7.422 Å, c = 7.422 Å
α = 45.68°, β = 90.00°, γ = 90.00°
Sites, in units of the cell vectors:
Cs (0.000, 0.000, 0.000)
Rb (0.000, 0.676, 0.676)
Rb (0.500, 0.837, 0.837)
Au (0.000, 0.335, 0.335)
Au (0.304, 0.444, 0.444)
Au (0.305, 0.229, 0.229)
Au (0.500, 0.339, 0.836)
Au (0.500, 0.836, 0.339)
Au (0.695, 0.229, 0.229)
Au (0.696, 0.444, 0.444)

The 8 most intense peaks (5 to 70 degrees two-theta), in order of rising 2θ:
d (Å), I/Imax
5.310, 100.0
3.219, 63.9
3.035, 33.0
2.571, 32.7
2.511, 52.7
2.236, 30.8
1.873, 35.9
1.610, 35.6